No. 1
Starting from a crystal structure in Alexandria, relaxed with GGA-PBE, the powder XRD pattern of La5Sb2O12 was calculated for λ = 1.5418 Å (Cu Kα).
Kinematic intensities with the Lorentz-polarization factor, no thermal factor.

Structure:
Cell lengths 13.113, 6.307, 7.827 Å; angles 90.00, 107.30, 90.00 degrees
Space group C2/m (No. 12)
Asymmetric unit:
La 0.000 0.000 0.000 (multiplicity 2)
La 0.197 0.500 0.333 (multiplicity 4)
La 0.198 0.500 0.863 (multiplicity 4)
Sb 0.000 0.244 0.500 (multiplicity 4)
O 0.001 0.000 0.678 (multiplicity 4)
O 0.001 0.500 0.324 (multiplicity 4)
O 0.155 0.247 0.076 (multiplicity 8)
O 0.162 0.265 0.582 (multiplicity 8)

Most intense lines, 2θ from 15° to 90°, sorted by position:
25.60°, I = 90, (3 1 0); 26.81°, I = 100, (1 1 -2); 28.52°, I = 23, (4 0 0); 30.44°, I = 24, (3 1 -2); 30.78°, I = 23, (0 2 1); 31.34°, I = 61, (2 0 2); 31.77°, I = 24, (2 2 0); 37.32°, I = 27, (0 2 2); 46.42°, I = 35, (2 0 -4); 52.17°, I = 43, (6 2 -2)

=====

No. 2
Starting from a crystal structure in Alexandria, relaxed with GGA-PBE, the powder XRD pattern of LaSbO was calculated for λ = 1.5418 Å (Cu Kα).
Kinematic intensities with the Lorentz-polarization factor, no thermal factor.

Structure:
Cell lengths 4.243, 4.246, 7.982 Å; angles 89.14, 89.28, 89.99 degrees
Space group P-1 (No. 2)
Asymmetric unit:
La 0.247 0.247 0.143 (multiplicity 2)
Sb 0.263 0.266 0.556 (multiplicity 2)
O 0.250 0.750 0.000 (multiplicity 2)

Most intense lines, 2θ from 15° to 90°, sorted by position:
23.88°, I = 18, (0 1 -1); 29.77°, I = 100, (1 -1 0); 30.54°, I = 79, (0 1 2); 30.97°, I = 64, (1 0 -2); 33.69°, I = 18, (0 0 3); 42.60°, I = 48, (2 0 0); 53.05°, I = 19, (1 2 2); 53.32°, I = 16, (-1 2 2); 61.82°, I = 29, (2 -2 0); 70.12°, I = 17, (3 -1 0)

=====

No. 3
Starting from a crystal structure in Alexandria, relaxed with GGA-PBE, the powder XRD pattern of La4Sb6O19 was calculated for λ = 1.5418 Å (Cu Kα).
Kinematic intensities with the Lorentz-polarization factor, no thermal factor.

Structure:
Cell lengths 8.102, 8.103, 8.541 Å; angles 108.90, 108.92, 108.42 degrees
Space group P1 (No. 1)
Asymmetric unit:
La 0.000 0.000 0.000 (multiplicity 1)
La 0.031 0.725 0.328 (multiplicity 1)
La 0.348 0.735 0.083 (multiplicity 1)
La 0.746 0.439 0.755 (multiplicity 1)
Sb 0.186 0.211 0.698 (multiplicity 1)
Sb 0.362 0.555 0.540 (multiplicity 1)
Sb 0.508 0.374 0.190 (multiplicity 1)
Sb 0.530 0.051 0.891 (multiplicity 1)
Sb 0.677 0.870 0.541 (multiplicity 1)
Sb 0.860 0.222 0.384 (multiplicity 1)
O 0.014 0.353 0.673 (multiplicity 1)
O 0.025 0.718 0.041 (multiplicity 1)
O 0.028 0.075 0.409 (multiplicity 1)
O 0.060 0.444 0.389 (multiplicity 1)
O 0.292 0.373 0.976 (multiplicity 1)
O 0.304 0.730 0.328 (multiplicity 1)
O 0.318 0.316 0.286 (multiplicity 1)
O 0.324 0.043 0.670 (multiplicity 1)
O 0.377 0.767 0.796 (multiplicity 1)
O 0.378 0.072 0.041 (multiplicity 1)
O 0.403 0.404 0.691 (multiplicity 1)
O 0.645 0.027 0.391 (multiplicity 1)
O 0.654 0.661 0.279 (multiplicity 1)
O 0.659 0.352 0.040 (multiplicity 1)
O 0.720 0.389 0.411 (multiplicity 1)
O 0.730 0.108 0.803 (multiplicity 1)
O 0.744 0.050 0.106 (multiplicity 1)
O 0.752 0.711 0.755 (multiplicity 1)
O 0.984 0.989 0.692 (multiplicity 1)

Most intense lines, 2θ from 15° to 90°, sorted by position:
22.03°, I = 54, (0 1 1); 23.19°, I = 92, (2 0 -1); 28.54°, I = 46, (-1 1 2); 29.32°, I = 100, (1 -2 2); 29.76°, I = 91, (2 1 -2); 29.95°, I = 39, (-2 2 1); 31.46°, I = 30, (1 1 1); 33.60°, I = 38, (1 0 -3); 34.36°, I = 32, (2 0 1); 35.59°, I = 49, (0 3 -1)

=====

- Which formula does entry 2 have?
  LaSbO